[1]
Starting from the PBE geometry in Alexandria, the PXRD pattern of BeNi6B was calculated for Cu Kα.

Most intense lines, 2θ = 5–70°, in order of rising 2θ:
d/Å  I_rel
2.354  29
2.344  14
2.188  56
2.074  100
2.069  67
2.063  34
1.603  16
1.355  17

```
BeNi6B
1.0
4.6877 0.0000 0.0000
-2.3397 4.0834 0.0000
-2.3301 -1.3687 4.3766
Be Ni B
1 6 1
Cartesian
0.0000 0.0000 0.0000
-0.7777 1.5470 1.0986
-1.4022 0.0926 3.2753
-1.7104 2.8016 3.2739
1.7283 -0.0869 1.1027
1.4201 2.6221 1.1013
0.7957 1.1677 3.2780
-2.3349 1.3574 2.1883
```


[2]
Starting from the PBE geometry in Alexandria, the PXRD pattern of K3Sb4Pt was calculated for Cu Kα.

Most intense lines, 2θ = 5–70°, in order of rising 2θ:
d/Å  I_rel
6.481  79
6.010  100
3.561  26
2.985  36
2.711  43
2.651  45
2.456  24
1.978  17

```
K3Sb4Pt
1.0
6.7832 0.0000 0.0000
0.0000 12.9625 0.0000
0.0000 0.0000 6.2847
K Sb Pt
6 8 2
Cartesian
1.6958 0.0475 0.9886
1.6958 3.2406 3.2976
1.6958 6.4338 0.9886
5.0874 6.5287 5.2960
5.0874 9.7219 2.9870
5.0874 12.9150 5.2960
0.0732 9.7219 6.2015
1.6958 8.0612 4.0923
1.6958 11.3825 4.0923
3.3184 9.7219 6.2015
3.4648 3.2406 0.0832
5.0874 1.5800 2.1924
5.0874 4.9013 2.1924
6.7100 3.2406 0.0832
1.6958 9.7219 2.0393
5.0874 3.2406 4.2454
```


[3]
Starting from the PBE geometry in Alexandria, the PXRD pattern of Ac12TlSi6 was calculated for Cu Kα.

Most intense lines, 2θ = 5–70°, in order of rising 2θ:
d/Å  I_rel
3.474  82
3.172  61
2.936  100
2.747  21
2.155  17
1.884  55
1.782  52
1.554  25

```
Ac12TlSi6
1.0
-5.4935 5.4935 5.4935
5.4935 -5.4935 5.4935
5.4935 5.4935 -5.4935
Ac Tl Si
12 1 6
Cartesian
5.4935 3.4225 -2.1935
3.3000 0.0000 2.0710
7.6870 0.0000 2.0710
2.0710 3.3000 0.0000
3.4225 -2.1935 5.4935
0.0000 2.0710 3.3000
5.4935 3.4225 2.1935
2.0710 7.6870 0.0000
3.4225 2.1935 5.4935
-2.1935 5.4935 3.4225
2.1935 5.4935 3.4225
0.0000 2.0710 7.6870
0.0000 0.0000 0.0000
5.4935 1.1955 0.0000
5.4935 0.0000 4.2981
4.2981 5.4935 0.0000
1.1955 0.0000 5.4935
0.0000 5.4935 1.1955
0.0000 4.2981 5.4935
```


[4]
Starting from the PBE geometry in Alexandria, the PXRD pattern of LiPd5Au6 was calculated for Cu Kα.

Most intense lines, 2θ = 5–70°, in order of rising 2θ:
d/Å  I_rel
3.964  13
2.884  12
2.332  100
2.050  17
2.028  17
1.982  15
1.442  11
1.425  11

```
LiPd5Au6
1.0
-2.0498 3.9642 6.0851
2.0498 -3.9642 6.0851
2.0498 3.9642 -6.0851
Li Pd Au
1 5 6
Cartesian
0.0000 0.0000 0.0000
2.0498 0.0000 1.9960
0.0000 0.0000 4.0507
0.0000 3.9642 0.0000
0.0000 0.0000 8.1195
0.0000 3.9642 4.0891
2.0498 -1.9935 4.0701
2.0498 1.9605 0.0000
0.0000 1.9707 2.0150
2.0498 1.9935 4.0701
0.0000 2.0037 6.0851
0.0000 5.9577 2.0150
```


[5]
Starting from the PBE geometry in Alexandria, the PXRD pattern of CaTcO3 was calculated for Cu Kα.

Most intense lines, 2θ = 5–70°, in order of rising 2θ:
d/Å  I_rel
5.799  100
3.750  96
3.316  61
3.258  58
2.767  49
2.683  57
2.355  51
1.717  42

```
CaTcO3
1.0
-3.0266 5.7988 1.9817
3.0266 -5.7988 1.9817
3.0266 5.7988 -1.9817
Ca Tc O
2 2 6
Cartesian
0.0000 2.1862 0.0000
0.0000 9.4114 0.0000
1.1192 5.7988 -0.2565
1.9074 0.0000 1.7252
1.5547 4.0003 0.0811
1.4719 -1.7985 2.0628
1.5547 7.5973 0.0811
1.4719 1.7985 2.0628
-1.5402 5.7988 1.9233
1.5402 5.7988 1.9233
```


[6]
Starting from the PBE geometry in Alexandria, the PXRD pattern of Nb2TlCdO6 was calculated for Cu Kα.

Most intense lines, 2θ = 5–70°, in order of rising 2θ:
d/Å  I_rel
4.745  67
3.712  100
3.685  45
3.412  89
3.318  47
3.220  76
3.059  80
3.021  95

```
Nb2TlCdO6
1.0
5.0889 -5.9984 0.0000
5.0889 5.9984 0.0000
-2.4957 0.0000 6.4404
Nb Tl Cd O
4 2 2 12
Cartesian
1.0979 0.8048 1.1769
-0.1500 -0.8048 4.3971
7.8321 0.8048 2.0433
6.5842 -0.8048 5.2635
3.2171 1.3243 4.8303
4.4650 -1.3243 1.6101
4.4650 2.6031 1.6101
3.2171 -2.6031 4.8303
0.0200 0.3520 2.7997
1.8003 3.5110 5.9072
-1.2278 -0.3520 6.0199
2.8058 0.9091 1.8545
4.6339 3.5110 3.7534
1.5579 -0.9091 5.0747
6.1242 0.9091 1.3657
3.0482 -3.5110 2.6870
4.8763 -0.9091 4.5859
8.9099 0.3520 0.4205
5.8818 -3.5110 0.5332
7.6620 -0.3520 3.6407
```


[7]
Starting from the PBE geometry in Alexandria, the PXRD pattern of La7Pr2Nd2 was calculated for Cu Kα.

Most intense lines, 2θ = 5–70°, in order of rising 2θ:
d/Å  I_rel
3.592  19
3.024  29
2.955  100
2.926  40
2.920  24
2.736  38
2.713  33
1.875  15

```
La7Pr2Nd2
1.0
5.8744 -5.8520 0.0000
5.8744 5.8520 0.0000
-2.2959 0.0000 5.8597
La Pr Nd
7 2 2
Cartesian
0.0000 0.0000 0.0000
1.8181 3.1887 4.8182
7.6347 3.1887 1.0415
4.5454 0.0000 1.1445
4.9074 0.0000 4.7152
1.8181 -3.1887 4.8182
7.6347 -3.1887 1.0415
1.3195 0.0000 3.4980
8.1333 0.0000 2.3617
4.7264 3.3312 2.9299
4.7264 -3.3312 2.9299
```


[8]
Starting from the PBE geometry in Alexandria, the PXRD pattern of Y2Zr3 was calculated for Cu Kα.

Most intense lines, 2θ = 5–70°, in order of rising 2θ:
d/Å  I_rel
2.743  33
2.716  100
2.358  65
1.673  21
1.661  22
1.428  12
1.421  25
1.417  13

```
Y2Zr3
1.0
1.6609 0.9589 13.7134
-1.6609 0.9589 13.7134
0.0000 -1.9179 13.7134
Y Zr
2 3
Cartesian
0.0000 0.0000 4.0940
0.0000 0.0000 37.0463
0.0000 0.0000 12.4822
0.0000 0.0000 20.5701
0.0000 0.0000 28.6581
```


[9]
Starting from the PBE geometry in Alexandria, the PXRD pattern of SrNp4O12 was calculated for Cu Kα.

Most intense lines, 2θ = 5–70°, in order of rising 2θ:
d/Å  I_rel
4.189  73
4.170  35
2.958  100
2.415  18
2.095  21
1.873  33
1.867  16
1.709  29

```
SrNp4O12
1.0
-4.1703 4.1884 4.1901
4.1703 -4.1884 4.1901
4.1703 4.1884 -4.1901
Sr Np O
1 4 12
Cartesian
0.0000 0.0000 0.0000
2.0851 2.0942 -2.0950
2.0851 -2.0942 2.0950
-2.0851 2.0942 2.0950
2.0851 2.0942 2.0950
4.1703 -2.0061 2.0170
2.3245 4.1884 -2.1826
1.8458 0.0000 2.0074
1.8565 2.0177 0.0000
2.3138 -2.1707 4.1901
4.1703 2.0061 2.0170
0.0000 2.1822 2.1731
1.8565 6.3591 0.0000
2.3138 2.1707 4.1901
2.3245 4.1884 2.1826
1.8458 0.0000 6.3727
0.0000 6.1945 2.1731
```


[10]
Starting from the PBE geometry in Alexandria, the PXRD pattern of Cs5Na3As3 was calculated for Cu Kα.

Most intense lines, 2θ = 5–70°, in order of rising 2θ:
d/Å  I_rel
5.639  100
3.706  63
3.269  68
3.098  49
2.828  65
2.819  25
2.135  41
1.760  30

```
Cs5Na3As3
1.0
11.3258 0.0000 0.0000
-5.6629 9.8085 0.0000
0.0000 0.0000 5.6382
Cs Na As
5 3 3
Cartesian
-4.1366 7.1649 0.0000
1.5263 2.6436 0.0000
0.0000 6.5390 0.0000
5.6629 3.2695 0.0000
8.2733 0.0000 0.0000
-2.0930 3.6252 2.8191
4.1860 0.0000 2.8191
3.5699 6.1833 2.8191
-2.0704 3.5861 0.0000
4.1408 0.0000 0.0000
3.5925 6.2224 0.0000
```


[11]
Starting from the PBE geometry in Alexandria, the PXRD pattern of UNb2Se4S2 was calculated for Cu Kα.

Most intense lines, 2θ = 5–70°, in order of rising 2θ:
d/Å  I_rel
7.068  100
3.097  37
2.837  29
2.674  25
2.501  50
2.166  22
2.014  27
1.788  27

```
UNb2Se4S2
1.0
3.5767 0.0000 0.0000
-1.7883 3.0975 0.0000
0.0000 0.0000 21.2051
U Nb Se S
1 2 4 2
Cartesian
0.0000 0.0000 0.0000
0.0000 0.0000 13.9496
1.7883 1.0325 6.9911
0.0000 0.0000 5.3342
0.0000 0.0000 8.6449
1.7883 1.0325 12.2964
1.7883 1.0325 15.6066
1.7883 1.0325 1.6727
1.7883 1.0325 19.5325
```


[12]
Starting from the PBE geometry in Alexandria, the PXRD pattern of LaPb6BrO7 was calculated for Cu Kα.

Most intense lines, 2θ = 5–70°, in order of rising 2θ:
d/Å  I_rel
4.265  15
3.241  83
3.161  100
2.981  59
2.459  20
2.064  25
1.897  34
1.741  31

```
LaPb6BrO7
1.0
4.9174 -8.6203 0.0000
4.9174 8.6203 0.0000
0.0000 0.0000 8.2527
La Pb Br O
2 12 2 14
Cartesian
0.0000 0.0000 0.0000
0.0000 0.0000 4.1263
2.3304 2.1966 6.1895
2.8335 1.6477 2.0632
4.9174 4.8232 4.2539
4.9174 4.8232 8.1251
2.3304 -2.1966 2.0632
2.8335 -1.6477 6.1895
7.0012 1.6477 2.0632
7.5044 2.1966 6.1895
4.9174 -4.8232 0.1276
4.9174 -4.8232 3.9988
7.0012 -1.6477 6.1895
7.5044 -2.1966 2.0632
4.9174 0.0000 0.0000
4.9174 0.0000 4.1263
1.4778 2.1556 0.2419
1.4778 2.1556 3.8844
1.4754 0.1636 6.1895
1.4754 -0.1636 2.0632
4.9174 5.3886 2.0632
1.4778 -2.1556 4.3683
1.4778 -2.1556 8.0108
8.3570 2.1556 0.2419
8.3570 2.1556 3.8844
4.9174 -5.3886 6.1895
8.3594 0.1636 6.1895
8.3594 -0.1636 2.0632
8.3570 -2.1556 4.3683
8.3570 -2.1556 8.0108
```